For NaHf3Os, a PBE-relaxed structure gives the simulated X-ray powder pattern in this record (λ = 1.5418 Å (Cu Kα)).
Lines closer than 0.1° are merged.

Peak list (10 most intense, 2θ from 15° to 90°, by angle)
17.39 deg, d 5.101, rel. 100, (1 0 0); 30.35 deg, d 2.945, rel. 41, (1 1 1); 35.19 deg, d 2.550, rel. 85, (2 0 0); 39.51 deg, d 2.281, rel. 52, (2 1 0); 50.62 deg, d 1.803, rel. 61, (2 2 0); 53.93 deg, d 1.700, rel. 27, (3 0 0); 60.17 deg, d 1.538, rel. 18, (3 1 1); 63.14 deg, d 1.472, rel. 21, (2 2 2); 77.10 deg, d 1.237, rel. 15, (4 1 0); 85.05 deg, d 1.141, rel. 28, (4 2 0)

Cell: 5.1006 5.1006 5.1006 Å, 90.00 90.00 90.00°
Positions (direct):
Na  0.0000  0.0000  0.0000
Hf  0.0000  0.5000  0.5000
Hf  0.5000  0.0000  0.5000
Hf  0.5000  0.5000  0.0000
Os  0.5000  0.5000  0.5000